(1)
# MnGaGe
Calculated powder XRD pattern, Cu Kα (weighted mean of Kα1 and Kα2). Input: the GGA-PBE geometry in the Materials Project.

The 10 most intense peaks (10 to 90 degrees two-theta), low angle first:
2θ = 30.24°, rel. 118
2θ = 32.08°, rel. 312
2θ = 35.58°, rel. 463
2θ = 44.66°, rel. 1000
2θ = 46.02°, rel. 702
2θ = 56.04°, rel. 86
2θ = 67.12°, rel. 355
2θ = 81.36°, rel. 95
2θ = 84.23°, rel. 292
2θ = 85.23°, rel. 94

Cell and atoms:
```
data_MnGaGe
_chemical_formula_sum 'Mn2 Ga2 Ge2'
_space_group_name_H-M_alt 'P 1'
_space_group_IT_number 1
_cell_length_a 3.9460
_cell_length_b 3.9460
_cell_length_c 5.9109
_cell_angle_alpha 90.00
_cell_angle_beta 90.00
_cell_angle_gamma 90.00
loop_
_space_group_symop_operation_xyz
'x,y,z'
loop_
_atom_site_label
_atom_site_type_symbol
_atom_site_fract_x
_atom_site_fract_y
_atom_site_fract_z
_atom_site_occupancy
Mn1 Mn 0.2500 0.7500 0.0000 1
Mn2 Mn 0.7500 0.2500 0.0000 1
Ga1 Ga 0.2500 0.2500 0.2962 1
Ga2 Ga 0.7500 0.7500 0.7038 1
Ge1 Ge 0.2500 0.2500 0.7191 1
Ge2 Ge 0.7500 0.7500 0.2809 1
```



(2)
# K2U2O7
Calculated powder XRD pattern, Cu Kα (weighted mean of Kα1 and Kα2). Input: the GGA-PBE geometry in the Materials Project.

The 10 most intense peaks (10 to 90 degrees two-theta), low angle first:
2θ = 13.00°, rel. 1000
2θ = 26.04°, rel. 567
2θ = 26.16°, rel. 327
2θ = 27.13°, rel. 962
2θ = 31.15°, rel. 476
2θ = 33.92°, rel. 103
2θ = 45.28°, rel. 204
2θ = 47.29°, rel. 147
2θ = 51.89°, rel. 110
2θ = 53.03°, rel. 200

Cell and atoms:
```
data_K2U2O7
_chemical_formula_sum 'K4 U4 O14'
_space_group_name_H-M_alt 'P 1'
_space_group_IT_number 1
_cell_length_a 6.9465
_cell_length_b 7.1881
_cell_length_c 8.0122
_cell_angle_alpha 73.90
_cell_angle_beta 89.83
_cell_angle_gamma 80.85
loop_
_space_group_symop_operation_xyz
'x,y,z'
loop_
_atom_site_label
_atom_site_type_symbol
_atom_site_fract_x
_atom_site_fract_y
_atom_site_fract_z
_atom_site_occupancy
K1 K 0.2375 0.4909 0.3778 1
K2 K 0.2571 0.4779 0.8794 1
K3 K 0.7429 0.5221 0.1206 1
K4 K 0.7625 0.5091 0.6222 1
U1 U 0.0000 0.0000 0.0000 1
U2 U 0.0000 0.0000 0.5000 1
U3 U 0.4701 0.9923 0.2533 1
U4 U 0.5299 0.0077 0.7467 1
O1 O 0.0579 0.7216 0.5886 1
O2 O 0.0589 0.7226 0.0497 1
O3 O 0.1342 0.9750 0.2565 1
O4 O 0.3086 0.0243 0.5426 1
O5 O 0.3089 0.0259 0.9436 1
O6 O 0.4391 0.2662 0.1856 1
O7 O 0.4880 0.2827 0.6777 1
O8 O 0.5120 0.7173 0.3223 1
O9 O 0.5609 0.7338 0.8144 1
O10 O 0.6911 0.9741 0.0564 1
O11 O 0.6914 0.9757 0.4574 1
O12 O 0.8658 0.0250 0.7435 1
O13 O 0.9411 0.2774 0.9503 1
O14 O 0.9421 0.2784 0.4114 1
```



(3)
# Sr3Sn13Ir4
Calculated powder XRD pattern, Cu Kα (weighted mean of Kα1 and Kα2). Input: the GGA-PBE geometry in the Materials Project.

The 10 most intense peaks (10 to 90 degrees two-theta), low angle first:
2θ = 17.83°, rel. 413
2θ = 32.44°, rel. 1000
2θ = 33.70°, rel. 356
2θ = 36.11°, rel. 375
2θ = 37.26°, rel. 176
2θ = 40.54°, rel. 381
2θ = 44.61°, rel. 606
2θ = 57.06°, rel. 181
2θ = 61.85°, rel. 224
2θ = 82.20°, rel. 170

Cell and atoms:
```
data_Sr3Sn13Ir4
_chemical_formula_sum 'Sr6 Sn26 Ir8'
_space_group_name_H-M_alt 'P 1'
_space_group_IT_number 1
_cell_length_a 9.9505
_cell_length_b 9.9505
_cell_length_c 9.9505
_cell_angle_alpha 90.00
_cell_angle_beta 90.00
_cell_angle_gamma 90.00
loop_
_space_group_symop_operation_xyz
'x,y,z'
loop_
_atom_site_label
_atom_site_type_symbol
_atom_site_fract_x
_atom_site_fract_y
_atom_site_fract_z
_atom_site_occupancy
Sr1 Sr 0.0000 0.2500 0.5000 1
Sr2 Sr 0.0000 0.7500 0.5000 1
Sr3 Sr 0.2500 0.5000 0.0000 1
Sr4 Sr 0.5000 0.0000 0.2500 1
Sr5 Sr 0.5000 0.0000 0.7500 1
Sr6 Sr 0.7500 0.5000 0.0000 1
Sn1 Sn 0.0000 0.0000 0.0000 1
Sn2 Sn 0.0000 0.3017 0.1523 1
Sn3 Sn 0.0000 0.3017 0.8477 1
Sn4 Sn 0.0000 0.6983 0.1523 1
Sn5 Sn 0.0000 0.6983 0.8477 1
Sn6 Sn 0.1523 0.0000 0.3017 1
Sn7 Sn 0.1523 0.0000 0.6983 1
Sn8 Sn 0.1983 0.5000 0.3477 1
Sn9 Sn 0.1983 0.5000 0.6523 1
Sn10 Sn 0.3017 0.1523 0.0000 1
Sn11 Sn 0.3017 0.8477 0.0000 1
Sn12 Sn 0.3477 0.1983 0.5000 1
Sn13 Sn 0.3477 0.8017 0.5000 1
Sn14 Sn 0.5000 0.3477 0.1983 1
Sn15 Sn 0.5000 0.3477 0.8017 1
Sn16 Sn 0.5000 0.5000 0.5000 1
Sn17 Sn 0.5000 0.6523 0.1983 1
Sn18 Sn 0.5000 0.6523 0.8017 1
Sn19 Sn 0.6523 0.1983 0.5000 1
Sn20 Sn 0.6523 0.8017 0.5000 1
Sn21 Sn 0.6983 0.1523 0.0000 1
Sn22 Sn 0.6983 0.8477 0.0000 1
Sn23 Sn 0.8017 0.5000 0.3477 1
Sn24 Sn 0.8017 0.5000 0.6523 1
Sn25 Sn 0.8477 0.0000 0.3017 1
Sn26 Sn 0.8477 0.0000 0.6983 1
Ir1 Ir 0.2500 0.2500 0.2500 1
Ir2 Ir 0.2500 0.2500 0.7500 1
Ir3 Ir 0.2500 0.7500 0.2500 1
Ir4 Ir 0.2500 0.7500 0.7500 1
Ir5 Ir 0.7500 0.2500 0.2500 1
Ir6 Ir 0.7500 0.2500 0.7500 1
Ir7 Ir 0.7500 0.7500 0.2500 1
Ir8 Ir 0.7500 0.7500 0.7500 1
```



(4)
# UCuSb2
Calculated powder XRD pattern, Cu Kα (weighted mean of Kα1 and Kα2). Input: the GGA-PBE geometry in the Materials Project.

The 10 most intense peaks (10 to 90 degrees two-theta), low angle first:
2θ = 22.54°, rel. 182
2θ = 34.82°, rel. 1000
2θ = 35.06°, rel. 212
2θ = 41.67°, rel. 383
2θ = 52.53°, rel. 147
2θ = 55.56°, rel. 117
2θ = 57.54°, rel. 134
2θ = 60.40°, rel. 127
2θ = 69.19°, rel. 132
2θ = 71.65°, rel. 246

Cell and atoms:
```
data_UCuSb2
_chemical_formula_sum 'U2 Cu2 Sb4'
_space_group_name_H-M_alt 'P 1'
_space_group_IT_number 1
_cell_length_a 4.3348
_cell_length_b 4.3348
_cell_length_c 9.5120
_cell_angle_alpha 90.00
_cell_angle_beta 90.00
_cell_angle_gamma 90.00
loop_
_space_group_symop_operation_xyz
'x,y,z'
loop_
_atom_site_label
_atom_site_type_symbol
_atom_site_fract_x
_atom_site_fract_y
_atom_site_fract_z
_atom_site_occupancy
U1 U 0.2500 0.2500 0.2476 1
U2 U 0.7500 0.7500 0.7524 1
Cu1 Cu 0.2500 0.7500 0.0000 1
Cu2 Cu 0.7500 0.2500 0.0000 1
Sb1 Sb 0.2500 0.2500 0.8316 1
Sb2 Sb 0.2500 0.7500 0.5000 1
Sb3 Sb 0.7500 0.2500 0.5000 1
Sb4 Sb 0.7500 0.7500 0.1684 1
```



(5)
# Pr12Ni6Pb
Calculated powder XRD pattern, Cu Kα (weighted mean of Kα1 and Kα2). Input: the GGA-PBE geometry in the Materials Project.

The 10 most intense peaks (10 to 90 degrees two-theta), low angle first:
2θ = 27.72°, rel. 445
2θ = 30.42°, rel. 370
2θ = 32.93°, rel. 1000
2θ = 45.44°, rel. 260
2θ = 52.42°, rel. 310
2θ = 54.06°, rel. 147
2θ = 55.67°, rel. 334
2θ = 64.77°, rel. 176
2θ = 79.99°, rel. 172
2θ = 81.32°, rel. 154

Cell and atoms:
```
data_Pr12Ni6Pb
_chemical_formula_sum 'Pr12 Ni6 Pb1'
_space_group_name_H-M_alt 'P 1'
_space_group_IT_number 1
_cell_length_a 8.8146
_cell_length_b 8.8146
_cell_length_c 8.8146
_cell_angle_alpha 109.47
_cell_angle_beta 109.47
_cell_angle_gamma 109.47
loop_
_space_group_symop_operation_xyz
'x,y,z'
loop_
_atom_site_label
_atom_site_type_symbol
_atom_site_fract_x
_atom_site_fract_y
_atom_site_fract_z
_atom_site_occupancy
Pr1 Pr 0.1238 0.8145 0.3093 1
Pr2 Pr 0.1855 0.3093 0.4947 1
Pr3 Pr 0.1855 0.6907 0.8762 1
Pr4 Pr 0.3093 0.1238 0.8145 1
Pr5 Pr 0.3093 0.4947 0.1855 1
Pr6 Pr 0.4947 0.1855 0.3093 1
Pr7 Pr 0.5053 0.8145 0.6907 1
Pr8 Pr 0.6907 0.5053 0.8145 1
Pr9 Pr 0.6907 0.8762 0.1855 1
Pr10 Pr 0.8145 0.3093 0.1238 1
Pr11 Pr 0.8145 0.6907 0.5053 1
Pr12 Pr 0.8762 0.1855 0.6907 1
Ni1 Ni 0.1198 0.6198 0.5000 1
Ni2 Ni 0.3802 0.5000 0.8802 1
Ni3 Ni 0.5000 0.1198 0.6198 1
Ni4 Ni 0.5000 0.8802 0.3802 1
Ni5 Ni 0.6198 0.5000 0.1198 1
Ni6 Ni 0.8802 0.3802 0.5000 1
Pb1 Pb 0.0000 0.0000 0.0000 1
```